Record 1
Simulated powder XRD pattern
Compound: LiZn13
Radiation: a wavelength of 1.5418 Å
Structure: a structure optimized by DFT (PBE)

Largest 10 diffraction maxima, most intense first, 10 to 80 degrees two-theta:
2θ (°)  I/Imax  (hkl)
43.6  100  5 3 1
44.3  51  6 0 0
14.4  48  2 0 0
35.9  35  4 2 2
69.8  15  7 5 3
20.5  13  2 2 0
77.8  9  10 0 0
41.6  8  4 4 0
73.6  8  9 3 1
76.0  7  8 4 4

Structural model:
```
data_LiZn13
_symmetry_space_group_name_H-M 'F m -3 c'
_symmetry_Int_Tables_number 226
_symmetry_space_group_name_Hall '-F 4a 2 3'
_cell_length_a 12.270
_cell_length_b 12.270
_cell_length_c 12.270
_cell_angle_alpha 90.00
_cell_angle_beta 90.00
_cell_angle_gamma 90.00
loop_
_atom_site_label
_atom_site_type_symbol
_atom_site_fract_x
_atom_site_fract_y
_atom_site_fract_z
Li1 Li 0.250 0.250 0.250
Zn1 Zn 0.000 0.000 0.000
Zn2 Zn 0.000 0.120 0.181
```

Record 2
Simulated powder XRD pattern
Compound: Sc12Ir3Br16
Radiation: a wavelength of 1.5418 Å
Structure: a structure optimized by DFT (PBE)

Largest 10 diffraction maxima, most intense first, 10 to 80 degrees two-theta:
2θ (°)  I/Imax  (hkl)
26.5  100  -2 2 1
25.3  79  0 3 -2
35.0  70  0 3 1
27.6  57  0 0 3
24.2  49  0 2 -3
28.0  48  2 1 -3
28.4  41  2 -2 2
40.3  40  0 3 -5
40.4  33  -4 1 1
25.4  32  0 2 1

Structural model:
```
data_Sc12Ir3Br16
_symmetry_space_group_name_H-M 'P -1'
_symmetry_Int_Tables_number 2
_cell_length_a 8.936
_cell_length_b 10.889
_cell_length_c 11.559
_cell_angle_alpha 116.81
_cell_angle_beta 101.83
_cell_angle_gamma 101.54
loop_
_symmetry_equiv_pos_as_xyz
'x,y,z'
'-x,-y,-z'
loop_
_atom_site_label
_atom_site_type_symbol
_atom_site_fract_x
_atom_site_fract_y
_atom_site_fract_z
Sc1 Sc 0.045 0.205 0.478
Sc2 Sc 0.102 0.154 0.746
Sc3 Sc 0.215 0.750 0.346
Sc4 Sc 0.276 0.037 0.316
Sc5 Sc 0.359 0.963 0.684
Sc6 Sc 0.420 0.249 0.654
Ir1 Ir 0.160 0.000 0.501
Ir2 Ir 0.500 0.000 0.500
Br1 Br 0.056 0.935 0.808
Br2 Br 0.101 0.751 0.104
Br3 Br 0.167 0.420 0.757
Br4 Br 0.189 0.664 0.538
Br5 Br 0.305 0.518 0.208
Br6 Br 0.336 0.336 0.466
Br7 Br 0.426 0.083 0.153
Br8 Br 0.431 0.248 0.896
```

Record 3
Simulated powder XRD pattern
Compound: InGaCoS4
Radiation: a wavelength of 1.5418 Å
Structure: a structure optimized by DFT (PBE)

Largest 10 diffraction maxima, most intense first, 10 to 80 degrees two-theta:
2θ (°)  I/Imax  (hkl)
28.8  100  1 0 1
31.5  62  1 0 2
49.4  55  1 1 0
21.7  53  0 0 3
46.5  46  1 0 5
40.7  36  1 0 4
53.0  35  0 1 6
35.6  33  1 0 3
54.5  23  1 1 3
14.4  23  0 0 2

Structural model:
```
data_InGaCoS4
_symmetry_space_group_name_H-M 'P 3 m 1'
_symmetry_Int_Tables_number 156
_cell_length_a 3.6932
_cell_length_b 3.6932
_cell_length_c 12.3115
_cell_angle_alpha 90.00
_cell_angle_beta 90.00
_cell_angle_gamma 120.00
loop_
_symmetry_equiv_pos_as_xyz
'x,y,z'
'-y,x-y,z'
'-x+y,-x,z'
'-y,-x,z'
'-x+y,y,z'
'x,x-y,z'
loop_
_atom_site_label
_atom_site_type_symbol
_atom_site_fract_x
_atom_site_fract_y
_atom_site_fract_z
In1 In 0.0000 0.0000 0.0000
Ga1 Ga 0.6667 0.3333 0.4422
Co1 Co 0.3333 0.6667 0.7111
S1 S 0.0000 0.0000 0.3592
S2 S 0.0000 0.0000 0.7987
S3 S 0.6667 0.3333 0.1055
S4 S 0.6667 0.3333 0.6266
```

Record 4
Simulated powder XRD pattern
Compound: YBi
Radiation: a wavelength of 1.5418 Å
Structure: a structure optimized by DFT (PBE)

Largest 10 diffraction maxima, most intense first, 10 to 80 degrees two-theta:
2θ (°)  I/Imax  (hkl)
28.1  100  2 0 0
40.2  78  2 2 0
65.9  37  4 2 0
49.8  28  2 2 2
24.3  27  1 1 1
73.1  27  4 2 2
47.6  16  3 1 1
58.2  13  4 0 0
64.0  7  3 3 1
78.4  5  5 1 1

Structural model:
```
data_YBi
_symmetry_space_group_name_H-M 'F m -3 m'
_symmetry_Int_Tables_number 225
_symmetry_space_group_name_Hall '-F 4 2 3'
_cell_length_a 6.341
_cell_length_b 6.341
_cell_length_c 6.341
_cell_angle_alpha 90.00
_cell_angle_beta 90.00
_cell_angle_gamma 90.00
loop_
_atom_site_label
_atom_site_type_symbol
_atom_site_fract_x
_atom_site_fract_y
_atom_site_fract_z
Y1 Y 0.000 0.000 0.000
Bi1 Bi 0.000 0.000 0.500
```